# GaCuF6
Theoretical X-ray diffraction stick pattern, Cu Ka. Input: a structure optimized by DFT (PBE).
No peak broadening, texture or thermal motion is included.

Top 10 peaks for 10 to 90 degrees two-theta, sorted by position:
2θ = 19.5°, rel. 100; 2θ = 25.3°, rel. 87; 2θ = 31.7°, rel. 34; 2θ = 42.5°, rel. 52; 2θ = 43.4°, rel. 22; 2θ = 47.6°, rel. 20; 2θ = 51.9°, rel. 13; 2θ = 56.3°, rel. 22; 2θ = 59.5°, rel. 13; 2θ = 65.7°, rel. 24

```
GaCuF6
1.0
2.420 -4.561 0.000
2.420 4.561 0.000
-1.195 0.000 4.691
Ga Cu F
1 1 6
Cartesian
0.000 0.000 0.000
1.822 0.000 2.346
0.911 1.249 1.165
0.311 0.000 3.515
0.911 -1.249 1.165
2.734 1.249 3.526
3.334 0.000 1.176
2.734 -1.249 3.526
```